[1]
The following is a simulated XRD peak list of Tb2GdCo2B2P3. It was derived from a PBE-relaxed structure, using Cu Kα (λ = 1.5418 Å).
No peak broadening, texture or thermal motion is included.

Atomic structure:
Lattice parameters (Å, degrees): 11.2865 11.2865 11.2865 160.20 160.20 28.15
Fractional positions:
1 Tb 0.1386 0.1386 0.0000
2 Tb 0.8614 0.8614 0.0000
3 Gd 0.5000 0.5000 0.0000
4 Co 0.2500 0.7500 0.5000
5 Co 0.7500 0.2500 0.5000
6 B 0.2846 0.2846 0.0000
7 B 0.7154 0.7154 0.0000
8 P 0.0000 0.0000 0.0000
9 P 0.3744 0.3744 0.0000
10 P 0.6256 0.6256 0.0000

Peak list (12 most intense, 2θ = 5–70°, sorted by position)
| two_theta | Rel. int. |
| --- | --- |
| 26.0 | 100 |
| 30.8 | 24 |
| 32.7 | 96 |
| 33.7 | 26 |
| 36.6 | 29 |
| 41.2 | 57 |
| 46.8 | 67 |
| 51.6 | 20 |
| 54.3 | 28 |
| 58.3 | 34 |
| 68.4 | 14 |
| 69.1 | 21 |

---

[2]
The following is a simulated XRD peak list of Rb2Sb2Pt3. It was derived from a PBE-relaxed structure, using Cu Kα (λ = 1.5418 Å).
No peak broadening, texture or thermal motion is included.

Atomic structure:
Lattice parameters (Å, degrees): 11.8511 11.8511 11.8511 22.15 22.15 22.15
Fractional positions:
1 Rb 0.0000 0.0000 0.0000
2 Rb 0.4962 0.4962 0.4962
3 Sb 0.2481 0.2481 0.2481
4 Sb 0.7434 0.7434 0.7434
5 Pt 0.4042 0.4042 0.4042
6 Pt 0.5934 0.5934 0.5934
7 Pt 0.9011 0.9011 0.9011

Peak list (12 most intense, 2θ = 5–70°, sorted by position)
| two_theta | Rel. int. |
| --- | --- |
| 7.7 | 42 |
| 15.3 | 100 |
| 22.7 | 13 |
| 23.1 | 20 |
| 28.9 | 11 |
| 30.7 | 39 |
| 31.0 | 33 |
| 34.4 | 29 |
| 39.6 | 81 |
| 42.7 | 47 |
| 51.1 | 48 |
| 58.1 | 21 |

---

[3]
The following is a simulated XRD peak list of LaPrNi6B2Pd2. It was derived from a PBE-relaxed structure, using Cu Kα (λ = 1.5418 Å).
No peak broadening, texture or thermal motion is included.

Atomic structure:
Lattice parameters (Å, degrees): 5.1943 5.1943 7.2393 90.00 90.00 120.00
Fractional positions:
1 La 0.0000 0.0000 0.0000
2 Pr 0.0000 0.0000 0.5000
3 Ni 0.0000 0.5000 0.3071
4 Ni 0.0000 0.5000 0.6929
5 Ni 0.5000 0.0000 0.3071
6 Ni 0.5000 0.0000 0.6929
7 Ni 0.5000 0.5000 0.3071
8 Ni 0.5000 0.5000 0.6929
9 B 0.3333 0.6667 0.5000
10 B 0.6667 0.3333 0.5000
11 Pd 0.3333 0.6667 0.0000
12 Pd 0.6667 0.3333 0.0000

Peak list (12 most intense, 2θ = 5–70°, sorted by position)
| two_theta | Rel. int. |
| --- | --- |
| 24.6 | 9 |
| 31.7 | 42 |
| 34.5 | 36 |
| 36.8 | 24 |
| 37.3 | 20 |
| 40.1 | 50 |
| 42.1 | 17 |
| 42.5 | 13 |
| 42.9 | 100 |
| 60.1 | 13 |
| 62.6 | 21 |
| 67.6 | 25 |

---

[4]
The following is a simulated XRD peak list of YGaAu2O4. It was derived from a PBE-relaxed structure, using Cu Kα (λ = 1.5418 Å).
No peak broadening, texture or thermal motion is included.

Atomic structure:
Lattice parameters (Å, degrees): 3.2632 3.2632 12.4202 90.00 90.00 120.00
Fractional positions:
1 Y 0.0000 0.0000 0.0000
2 Ga 0.0000 0.0000 0.5000
3 Au 0.3333 0.6667 0.7406
4 Au 0.6667 0.3333 0.2594
5 O 0.3333 0.6667 0.5734
6 O 0.3333 0.6667 0.9062
7 O 0.6667 0.3333 0.0938
8 O 0.6667 0.3333 0.4266

Peak list (12 most intense, 2θ = 5–70°, sorted by position)
| two_theta | Rel. int. |
| --- | --- |
| 14.3 | 27 |
| 28.8 | 43 |
| 32.5 | 100 |
| 34.9 | 71 |
| 38.6 | 36 |
| 48.8 | 30 |
| 55.0 | 26 |
| 56.4 | 28 |
| 61.7 | 14 |
| 64.5 | 28 |
| 66.6 | 12 |
| 68.0 | 10 |

---

[5]
The following is a simulated XRD peak list of K2Sr2Zn3. It was derived from a PBE-relaxed structure, using Cu Kα (λ = 1.5418 Å).
No peak broadening, texture or thermal motion is included.

Atomic structure:
Lattice parameters (Å, degrees): 9.7626 9.7626 9.7626 33.65 33.65 33.65
Fractional positions:
1 K 0.0000 0.0000 0.0000
2 K 0.4975 0.4975 0.4975
3 Sr 0.2499 0.2499 0.2499
4 Sr 0.7461 0.7461 0.7461
5 Zn 0.3716 0.3716 0.3716
6 Zn 0.6225 0.6225 0.6225
7 Zn 0.8768 0.8768 0.8768

Peak list (12 most intense, 2θ = 5–70°, sorted by position)
| two_theta | Rel. int. |
| --- | --- |
| 9.6 | 8 |
| 18.4 | 4 |
| 19.3 | 14 |
| 31.7 | 100 |
| 33.2 | 3 |
| 37.3 | 8 |
| 45.4 | 18 |
| 49.7 | 3 |
| 56.4 | 27 |
| 56.6 | 9 |
| 66.1 | 5 |
| 66.3 | 5 |

---

[6]
The following is a simulated XRD peak list of IrCl5. It was derived from a PBE-relaxed structure, using Cu Kα (λ = 1.5418 Å).
No peak broadening, texture or thermal motion is included.

Atomic structure:
Lattice parameters (Å, degrees): 6.1286 6.6169 8.9694 108.96 90.37 117.00
Fractional positions:
1 Ir 0.1002 0.2066 0.2087
2 Ir 0.8998 0.7934 0.7913
3 Cl 0.0629 0.8076 0.5663
4 Cl 0.1200 0.6204 0.8499
5 Cl 0.2437 0.1879 0.9555
6 Cl 0.3085 0.0109 0.2468
7 Cl 0.4366 0.5771 0.3398
8 Cl 0.5634 0.4229 0.6602
9 Cl 0.6915 0.9891 0.7532
10 Cl 0.7563 0.8121 0.0445
11 Cl 0.8800 0.3796 0.1501
12 Cl 0.9371 0.1924 0.4337

Peak list (12 most intense, 2θ = 5–70°, sorted by position)
| two_theta | Rel. int. |
| --- | --- |
| 15.7 | 100 |
| 16.5 | 60 |
| 16.6 | 51 |
| 17.9 | 45 |
| 18.1 | 43 |
| 21.3 | 49 |
| 22.4 | 31 |
| 33.4 | 84 |
| 33.5 | 42 |
| 43.7 | 31 |
| 43.9 | 24 |
| 51.8 | 27 |

---

[7]
The following is a simulated XRD peak list of CuP4S3Br. It was derived from a PBE-relaxed structure, using Cu Kα (λ = 1.5418 Å).
No peak broadening, texture or thermal motion is included.

Atomic structure:
Lattice parameters (Å, degrees): 6.4316 9.3303 15.7074 98.53 97.87 106.58
Fractional positions:
1 Cu 0.0054 0.3922 0.2086
2 Cu 0.3570 0.1594 0.0835
3 Cu 0.6430 0.8406 0.9165
4 Cu 0.9946 0.6078 0.7914
5 P 0.0128 0.3844 0.8235
6 P 0.1201 0.6845 0.6729
7 P 0.1369 0.0639 0.8069
8 P 0.1400 0.8595 0.5061
9 P 0.1500 0.9466 0.1214
10 P 0.1942 0.1849 0.9501
11 P 0.3503 0.6141 0.5913
12 P 0.4650 0.8433 0.6853
13 P 0.5350 0.1567 0.3147
14 P 0.6497 0.3859 0.4087
15 P 0.8058 0.8151 0.0499
16 P 0.8500 0.0534 0.8786
17 P 0.8600 0.1405 0.4939
18 P 0.8631 0.9361 0.1931
19 P 0.8799 0.3155 0.3271
20 P 0.9872 0.6156 0.1765
21 S 0.0785 0.2325 0.4118
22 S 0.1345 0.2419 0.7394
23 S 0.2207 0.4118 0.9452
24 S 0.2528 0.6695 0.4705
25 S 0.2793 0.7779 0.1594
26 S 0.4122 0.9963 0.6056
27 S 0.5878 0.0037 0.3944
28 S 0.7207 0.2221 0.8406
29 S 0.7472 0.3305 0.5295
30 S 0.7793 0.5882 0.0548
31 S 0.8655 0.7581 0.2606
32 S 0.9215 0.7675 0.5882
33 Br 0.2495 0.8061 0.9158
34 Br 0.3752 0.3850 0.1942
35 Br 0.6248 0.6150 0.8058
36 Br 0.7505 0.1939 0.0842

Peak list (12 most intense, 2θ = 5–70°, sorted by position)
| two_theta | Rel. int. |
| --- | --- |
| 5.8 | 100 |
| 10.6 | 33 |
| 17.4 | 19 |
| 18.4 | 15 |
| 19.7 | 14 |
| 27.8 | 19 |
| 29.0 | 20 |
| 29.4 | 16 |
| 29.6 | 26 |
| 30.5 | 14 |
| 30.6 | 16 |
| 32.2 | 16 |

---

[8]
The following is a simulated XRD peak list of AuSeI6. It was derived from a PBE-relaxed structure, using Cu Kα (λ = 1.5418 Å).
No peak broadening, texture or thermal motion is included.

Atomic structure:
Lattice parameters (Å, degrees): 7.7195 7.7195 7.7195 60.00 60.00 60.00
Fractional positions:
1 Au 0.0000 0.0000 0.0000
2 Se 0.7500 0.7500 0.7500
3 I 0.0049 0.0049 0.4951
4 I 0.0049 0.4951 0.0049
5 I 0.0049 0.4951 0.4951
6 I 0.4951 0.0049 0.0049
7 I 0.4951 0.0049 0.4951
8 I 0.4951 0.4951 0.0049

Peak list (12 most intense, 2θ = 5–70°, sorted by position)
| two_theta | Rel. int. |
| --- | --- |
| 14.1 | 28 |
| 16.2 | 8 |
| 27.1 | 21 |
| 28.3 | 100 |
| 32.8 | 71 |
| 35.9 | 11 |
| 43.1 | 8 |
| 47.1 | 51 |
| 49.4 | 7 |
| 55.9 | 44 |
| 58.6 | 18 |
| 68.8 | 8 |

---

[9]
The following is a simulated XRD peak list of Tm3AlNi8. It was derived from a PBE-relaxed structure, using Cu Kα (λ = 1.5418 Å).
No peak broadening, texture or thermal motion is included.

Atomic structure:
Lattice parameters (Å, degrees): 5.0037 5.0037 15.9098 90.00 90.00 120.00
Fractional positions:
1 Tm 0.3333 0.6667 0.0449
2 Tm 0.3333 0.6667 0.2500
3 Tm 0.3333 0.6667 0.4551
4 Tm 0.6667 0.3333 0.5449
5 Tm 0.6667 0.3333 0.7500
6 Tm 0.6667 0.3333 0.9551
7 Al 0.0000 0.0000 0.0000
8 Al 0.0000 0.0000 0.5000
9 Ni 0.0000 0.0000 0.2500
10 Ni 0.0000 0.0000 0.7500
11 Ni 0.1690 0.3380 0.6247
12 Ni 0.1690 0.3380 0.8753
13 Ni 0.1690 0.8310 0.6247
14 Ni 0.1690 0.8310 0.8753
15 Ni 0.3333 0.6667 0.7500
16 Ni 0.3380 0.1690 0.1247
17 Ni 0.3380 0.1690 0.3753
18 Ni 0.6620 0.8310 0.6247
19 Ni 0.6620 0.8310 0.8753
20 Ni 0.6667 0.3333 0.2500
21 Ni 0.8310 0.1690 0.1247
22 Ni 0.8310 0.1690 0.3753
23 Ni 0.8310 0.6620 0.1247
24 Ni 0.8310 0.6620 0.3753

Peak list (12 most intense, 2θ = 5–70°, sorted by position)
| two_theta | Rel. int. |
| --- | --- |
| 30.5 | 16 |
| 35.0 | 100 |
| 35.9 | 63 |
| 41.7 | 22 |
| 42.1 | 48 |
| 42.7 | 98 |
| 45.0 | 16 |
| 45.2 | 31 |
| 50.1 | 16 |
| 63.9 | 34 |
| 68.5 | 16 |
| 69.2 | 22 |

---

[10]
The following is a simulated XRD peak list of Nd3Cd3Pt2Au. It was derived from a PBE-relaxed structure, using Cu Kα (λ = 1.5418 Å).
No peak broadening, texture or thermal motion is included.

Atomic structure:
Lattice parameters (Å, degrees): 4.0384 7.7864 7.7864 119.97 90.00 90.00
Fractional positions:
1 Nd 0.0000 0.0000 0.0000
2 Nd 0.0000 0.1767 0.5884
3 Nd 0.0000 0.5884 0.1767
4 Cd 0.5000 0.3313 0.3313
5 Cd 0.5000 0.5889 0.8451
6 Cd 0.5000 0.8451 0.5889
7 Pt 0.5000 0.2541 0.9219
8 Pt 0.5000 0.9219 0.2541
9 Au 0.0000 0.5890 0.5890

Peak list (12 most intense, 2θ = 5–70°, sorted by position)
| two_theta | Rel. int. |
| --- | --- |
| 22.8 | 18 |
| 25.7 | 12 |
| 31.9 | 68 |
| 34.7 | 100 |
| 35.2 | 31 |
| 40.1 | 45 |
| 41.9 | 40 |
| 44.9 | 25 |
| 58.3 | 14 |
| 61.8 | 25 |
| 63.2 | 11 |
| 64.5 | 33 |

---

[11]
The following is a simulated XRD peak list of Mg3Ga7Co2. It was derived from a PBE-relaxed structure, using Cu Kα (λ = 1.5418 Å).
No peak broadening, texture or thermal motion is included.

Atomic structure:
Lattice parameters (Å, degrees): 6.5398 6.5398 9.3895 92.39 92.39 92.16
Fractional positions:
1 Mg 0.1482 0.8518 0.7500
2 Mg 0.2550 0.3604 0.6974
3 Mg 0.3604 0.2550 0.1974
4 Mg 0.6396 0.7450 0.8026
5 Mg 0.7450 0.6396 0.3026
6 Mg 0.8518 0.1482 0.2500
7 Ga 0.0547 0.1905 0.9742
8 Ga 0.1090 0.4449 0.3976
9 Ga 0.1905 0.0547 0.4742
10 Ga 0.2287 0.7713 0.2500
11 Ga 0.3068 0.5643 0.9816
12 Ga 0.4357 0.6932 0.5184
13 Ga 0.4449 0.1090 0.8976
14 Ga 0.5551 0.8910 0.1024
15 Ga 0.5643 0.3068 0.4816
16 Ga 0.6932 0.4357 0.0184
17 Ga 0.7713 0.2287 0.7500
18 Ga 0.8095 0.9453 0.5258
19 Ga 0.8910 0.5551 0.6024
20 Ga 0.9453 0.8095 0.0258
21 Co 0.0309 0.4838 0.1453
22 Co 0.4838 0.0309 0.6453
23 Co 0.5162 0.9691 0.3547
24 Co 0.9691 0.5162 0.8547

Peak list (12 most intense, 2θ = 5–70°, sorted by position)
| two_theta | Rel. int. |
| --- | --- |
| 16.2 | 84 |
| 18.9 | 100 |
| 26.8 | 39 |
| 35.5 | 85 |
| 41.6 | 78 |
| 42.4 | 68 |
| 43.0 | 90 |
| 44.0 | 65 |
| 44.4 | 60 |
| 44.7 | 87 |
| 44.9 | 48 |
| 46.7 | 43 |

---

[12]
The following is a simulated XRD peak list of PrNb3F15. It was derived from a PBE-relaxed structure, using Cu Kα (λ = 1.5418 Å).
No peak broadening, texture or thermal motion is included.

Atomic structure:
Lattice parameters (Å, degrees): 7.2386 7.2386 7.2386 112.93 112.93 112.93
Fractional positions:
1 Pr 0.0000 0.0000 0.0000
2 Nb 0.1905 0.6329 0.6329
3 Nb 0.6329 0.1905 0.6329
4 Nb 0.6329 0.6329 0.1905
5 F 0.1599 0.3694 0.3694
6 F 0.2626 0.9221 0.9221
7 F 0.3260 0.5336 0.8734
8 F 0.3260 0.8734 0.5336
9 F 0.3694 0.1599 0.3694
10 F 0.3694 0.3694 0.1599
11 F 0.5336 0.3260 0.8734
12 F 0.5336 0.8734 0.3260
13 F 0.5749 0.8414 0.8414
14 F 0.8414 0.5749 0.8414
15 F 0.8414 0.8414 0.5749
16 F 0.8734 0.3260 0.5336
17 F 0.8734 0.5336 0.3260
18 F 0.9221 0.2626 0.9221
19 F 0.9221 0.9221 0.2626

Peak list (12 most intense, 2θ = 5–70°, sorted by position)
| two_theta | Rel. int. |
| --- | --- |
| 22.7 | 100 |
| 27.2 | 32 |
| 29.6 | 34 |
| 37.7 | 9 |
| 43.8 | 15 |
| 46.1 | 16 |
| 46.5 | 13 |
| 48.6 | 17 |
| 48.8 | 9 |
| 49.0 | 22 |
| 53.6 | 9 |
| 55.7 | 11 |

---

What did the sixth record say?
The following is a simulated XRD peak list of IrCl5. It was derived from a PBE-relaxed structure, using Cu Kα (λ = 1.5418 Å).
No peak broadening, texture or thermal motion is included.

Atomic structure:
Lattice parameters (Å, degrees): 6.1286 6.6169 8.9694 108.96 90.37 117.00
Fractional positions:
1 Ir 0.1002 0.2066 0.2087
2 Ir 0.8998 0.7934 0.7913
3 Cl 0.0629 0.8076 0.5663
4 Cl 0.1200 0.6204 0.8499
5 Cl 0.2437 0.1879 0.9555
6 Cl 0.3085 0.0109 0.2468
7 Cl 0.4366 0.5771 0.3398
8 Cl 0.5634 0.4229 0.6602
9 Cl 0.6915 0.9891 0.7532
10 Cl 0.7563 0.8121 0.0445
11 Cl 0.8800 0.3796 0.1501
12 Cl 0.9371 0.1924 0.4337

Peak list (12 most intense, 2θ = 5–70°, sorted by position)
| two_theta | Rel. int. |
| --- | --- |
| 15.7 | 100 |
| 16.5 | 60 |
| 16.6 | 51 |
| 17.9 | 45 |
| 18.1 | 43 |
| 21.3 | 49 |
| 22.4 | 31 |
| 33.4 | 84 |
| 33.5 | 42 |
| 43.7 | 31 |
| 43.9 | 24 |
| 51.8 | 27 |